Starting from a crystal structure in Alexandria, relaxed with PBE, the powder XRD pattern of AlCd2Pd5 was calculated for Cu Kα, 1.54184 Å.
Neutral-atom scattering factors, no anomalous dispersion.

Cell and atoms:
a = 7.8273 Å, b = 7.8273 Å, c = 7.8273 Å
α = 148.63°, β = 148.63°, γ = 44.96°
Fractional positions:
Al (0.0000, 0.0000, 0.0000)
Cd (0.2517, 0.2517, 0.0000)
Cd (0.7483, 0.7483, 0.0000)
Pd (0.1165, 0.6165, 0.5000)
Pd (0.3835, 0.8835, 0.5000)
Pd (0.5000, 0.5000, 0.0000)
Pd (0.6165, 0.1165, 0.5000)
Pd (0.8835, 0.3835, 0.5000)

Main lines, low angle first (2θ from 5° to 70°):
| d_spacing | intensity |
| --- | --- |
| 2.765 | 5 |
| 2.306 | 100 |
| 2.116 | 40 |
| 1.808 | 11 |
| 1.496 | 13 |
| 1.375 | 17 |

***

Starting from a crystal structure in Alexandria, relaxed with PBE, the powder XRD pattern of NpMnInFe was calculated for Cu Kα, 1.54184 Å.
Neutral-atom scattering factors, no anomalous dispersion.

Cell and atoms:
a = 4.5971 Å, b = 4.5971 Å, c = 4.5971 Å
α = 60.00°, β = 60.00°, γ = 60.00°
Fractional positions:
Np (0.0000, 0.0000, 0.0000)
Mn (0.2500, 0.2500, 0.2500)
In (0.5000, 0.5000, 0.5000)
Fe (0.7500, 0.7500, 0.7500)

Main lines, low angle first (2θ from 5° to 70°):
| d_spacing | intensity |
| --- | --- |
| 3.754 | 14 |
| 3.251 | 32 |
| 2.299 | 100 |
| 1.877 | 10 |
| 1.625 | 17 |
| 1.454 | 13 |

***

Starting from a crystal structure in Alexandria, relaxed with PBE, the powder XRD pattern of Tm6SnTe3S2 was calculated for Cu Kα, 1.54184 Å.
Neutral-atom scattering factors, no anomalous dispersion.

Cell and atoms:
a = 7.1268 Å, b = 7.1268 Å, c = 7.3752 Å
α = 99.29°, β = 99.29°, γ = 119.85°
Fractional positions:
Tm (0.0769, 0.4282, 0.7838)
Tm (0.2185, 0.2185, 0.2107)
Tm (0.4282, 0.0769, 0.7838)
Tm (0.5718, 0.9231, 0.2162)
Tm (0.7815, 0.7815, 0.7893)
Tm (0.9231, 0.5718, 0.2162)
Sn (0.5000, 0.5000, 0.0000)
Te (0.0000, 0.0000, 0.5000)
Te (0.3394, 0.6606, 0.5000)
Te (0.6606, 0.3394, 0.5000)
S (0.1678, 0.8322, 0.0000)
S (0.8322, 0.1678, 0.0000)

Main lines, low angle first (2θ from 5° to 70°):
| d_spacing | intensity |
| --- | --- |
| 3.376 | 11 |
| 2.948 | 100 |
| 2.111 | 33 |
| 2.060 | 25 |
| 2.056 | 12 |
| 1.687 | 13 |

***

Starting from a crystal structure in Alexandria, relaxed with PBE, the powder XRD pattern of LaPr2In was calculated for Cu Kα, 1.54184 Å.
Neutral-atom scattering factors, no anomalous dispersion.

Cell and atoms:
a = 3.7509 Å, b = 3.7509 Å, c = 9.4159 Å
α = 90.00°, β = 90.00°, γ = 90.00°
Fractional positions:
La (0.0000, 0.0000, 0.0000)
Pr (0.5000, 0.5000, 0.2767)
Pr (0.5000, 0.5000, 0.7233)
In (0.0000, 0.0000, 0.5000)

Main lines, low angle first (2θ from 5° to 70°):
| d_spacing | intensity |
| --- | --- |
| 2.934 | 100 |
| 2.652 | 40 |
| 2.354 | 11 |
| 1.875 | 14 |
| 1.761 | 19 |
| 1.580 | 31 |

***

Starting from a crystal structure in Alexandria, relaxed with PBE, the powder XRD pattern of LiHoMgBr6 was calculated for Cu Kα, 1.54184 Å.
Neutral-atom scattering factors, no anomalous dispersion.

Cell and atoms:
a = 6.9206 Å, b = 6.9206 Å, c = 12.7385 Å
α = 90.00°, β = 90.00°, γ = 120.00°
Fractional positions:
Li (0.0000, 0.0000, 0.0000)
Li (0.0000, 0.0000, 0.5000)
Ho (0.3333, 0.6667, 0.2500)
Ho (0.6667, 0.3333, 0.7500)
Mg (0.3333, 0.6667, 0.7500)
Mg (0.6667, 0.3333, 0.2500)
Br (0.0104, 0.3498, 0.6278)
Br (0.0104, 0.6606, 0.8722)
Br (0.3394, 0.3498, 0.8722)
Br (0.3394, 0.9896, 0.6278)
Br (0.3498, 0.0104, 0.1278)
Br (0.3498, 0.3394, 0.3722)
Br (0.6502, 0.6606, 0.6278)
Br (0.6502, 0.9896, 0.8722)
Br (0.6606, 0.0104, 0.3722)
Br (0.6606, 0.6502, 0.1278)
Br (0.9896, 0.3394, 0.1278)
Br (0.9896, 0.6502, 0.3722)

Main lines, low angle first (2θ from 5° to 70°):
| d_spacing | intensity |
| --- | --- |
| 6.369 | 19 |
| 5.423 | 21 |
| 3.041 | 100 |
| 2.343 | 48 |
| 1.998 | 37 |
| 1.810 | 23 |

***

Starting from a crystal structure in Alexandria, relaxed with PBE, the powder XRD pattern of Tb3Ga5 was calculated for Cu Kα, 1.54184 Å.
Neutral-atom scattering factors, no anomalous dispersion.

Cell and atoms:
a = 11.2952 Å, b = 7.6251 Å, c = 9.3034 Å
α = 83.07°, β = 42.08°, γ = 54.85°
Fractional positions:
Tb (0.0000, 0.0000, 0.0000)
Tb (0.2500, 0.2500, 0.2500)
Tb (0.3330, 0.6726, 0.3251)
Tb (0.5806, 0.9249, 0.5774)
Tb (0.6726, 0.3330, 0.6694)
Tb (0.9249, 0.5806, 0.9170)
Ga (0.0534, 0.7633, 0.2940)
Ga (0.1834, 0.4906, 0.9871)
Ga (0.2629, 0.9111, 0.0666)
Ga (0.3606, 0.9560, 0.4867)
Ga (0.4441, 0.4441, 0.5559)
Ga (0.4906, 0.1834, 0.3389)
Ga (0.6941, 0.6941, 0.8059)
Ga (0.7633, 0.0534, 0.8894)
Ga (0.9111, 0.2629, 0.7594)
Ga (0.9560, 0.3606, 0.1966)

Main lines, low angle first (2θ from 5° to 70°):
| d_spacing | intensity |
| --- | --- |
| 3.109 | 77 |
| 2.716 | 100 |
| 2.701 | 99 |
| 2.331 | 89 |
| 2.075 | 75 |
| 1.810 | 38 |